Structure and simulated powder diffraction line list of AcMg9Pd3 (the PBE geometry in Alexandria; Cu Kα, 1.54184 Å).
Lines closer than 0.1° are merged.

Crystal structure
```
data_AcMg9Pd3
_chemical_formula_sum 'Ac2 Mg18 Pd6'
_symmetry_space_group_name_H-M 'C 1 2/m 1'
_symmetry_Int_Tables_number 12
_cell_length_a 5.664
_cell_length_b 14.348
_cell_length_c 7.252
_cell_angle_alpha 90.00
_cell_angle_beta 110.47
_cell_angle_gamma 90.00
loop_
_symmetry_equiv_pos_as_xyz
'x,y,z'
'-x,-y,-z'
'-x,y,-z'
'x,-y,z'
'x+1/2,y+1/2,z'
'-x+1/2,-y+1/2,-z'
'-x+1/2,y+1/2,-z'
'x+1/2,-y+1/2,z'
loop_
_atom_site_label
_atom_site_type_symbol
_atom_site_fract_x
_atom_site_fract_y
_atom_site_fract_z
Ac1 Ac 0.000 0.000 0.000
Mg1 Mg 0.000 0.000 0.500
Mg2 Mg 0.092 0.386 0.217
Mg3 Mg 0.156 0.180 0.330
Pd1 Pd 0.000 0.500 0.500
Pd2 Pd 0.250 0.250 0.000
```

Principal peaks in the range 10° ≤ 2θ ≤ 90°, sorted by position:
2theta, d [Å], I_rel, hkl
13.03, 6.794, 95, 0 0 1
18.32, 4.843, 86, 1 1 -1
24.82, 3.587, 61, 0 4 0
25.42, 3.504, 96, 1 3 -1
26.23, 3.397, 46, 0 0 2
28.13, 3.172, 37, 0 4 1
31.02, 2.883, 50, 1 3 1
35.83, 2.506, 38, 1 5 -1
36.09, 2.489, 82, 2 2 0
36.43, 2.467, 100, 0 4 2
37.13, 2.422, 78, 2 2 -2
52.23, 1.752, 48, 2 6 -2